# NaGa
Computed X-ray diffraction stick pattern, copper Kα. Input: a crystal structure in Alexandria, relaxed with PBE.
Lines closer than 0.1° are merged.

Structure:
abc: 3.5883 5.2302 10.2405
angles: 90.00 90.00 90.00
Space group Imma (No. 74)
One atom of each set of equivalent atoms:
Na  0.0000  0.2500  0.1023 [4 per cell]
Ga  0.0000  0.2500  0.6570 [4 per cell]

Main lines, in order of rising 2θ (2θ from 10° to 90°):
| hkl | 2θ/deg | I (rel.) |
| --- | --- | --- |
| 0 1 1 | 19.05 | 51.8 |
| 0 2 0 | 34.29 | 26.6 |
| 1 1 2 | 35.03 | 100.0 |
| 1 0 3 | 36.32 | 19.1 |
| 0 1 5 | 47.69 | 10.5 |
| 0 2 4 | 49.85 | 9.5 |
| 2 0 0 | 50.84 | 22.8 |
| 1 3 2 | 61.88 | 15.4 |
| 2 2 0 | 62.82 | 11.6 |
| 0 4 0 | 72.29 | 8.5 |